Ca4RuN4: simulated powder diffraction line list (Cu Kα (weighted mean of Kα1 and Kα2)), based on the GGA-PBE geometry in the Materials Project.
Kinematic intensities with the Lorentz-polarization factor, no thermal factor.

Most intense lines, 2θ from 15° to 90°, sorted by position:
| two_theta | I_rel |
| --- | --- |
| 16.68 | 31 |
| 18.32 | 22 |
| 22.54 | 19 |
| 31.60 | 100 |
| 32.08 | 44 |
| 33.93 | 48 |
| 36.10 | 40 |
| 36.85 | 41 |
| 39.30 | 20 |
| 39.41 | 36 |
| 53.22 | 17 |
| 57.85 | 15 |

Crystal structure
```
Ca4RuN4
1.0
6.0524 0.0000 0.0000
2.1388 5.6839 0.0000
2.9207 -0.7132 8.0961
Ca Ru N
8 2 8
Cartesian
2.1201 1.0222 3.4909
1.6997 1.2792 0.1524
3.5890 3.9638 1.2509
5.0254 1.2078 5.0255
6.0866 3.7628 3.0707
7.5230 1.0069 6.8452
9.4123 3.6915 7.9437
8.9919 3.9485 4.6052
6.2512 4.0020 6.1268
4.8608 0.9686 1.9694
2.9783 -0.4510 5.3565
5.4128 2.5207 7.2064
3.9758 2.4666 3.1026
3.1736 -0.0239 1.6384
7.9383 4.9946 6.4578
7.1362 2.5041 4.9935
5.6991 2.4500 0.8897
8.1337 5.4217 2.7396
```